Starting from a crystal structure in Alexandria, relaxed with GGA-PBE, the powder diffraction line list of ErSc2PaSe4 was simulated for Cu Kα (weighted mean of Kα1 and Kα2).
Kinematic intensities with the Lorentz-polarization factor, no thermal factor.

Structural model:
```
ErSc2PaSe4
1.0
6.8564 0.0000 0.0000
0.0000 3.9100 0.0000
-2.2251 0.0000 6.5634
Er Sc Pa Se
1 2 1 4
Direct
0.0000 0.0000 0.0000 Er
0.0000 0.5000 0.5000 Sc
0.5000 0.0000 0.5000 Sc
0.5000 0.5000 0.0000 Pa
0.2404 0.0000 0.7319 Se
0.2519 0.5000 0.2647 Se
0.7481 0.5000 0.7353 Se
0.7596 0.0000 0.2681 Se
```

Top 12 peaks for 2θ = 10–90°, low angle first:
Position (°2θ)	I (rel.)
13.5	27
26.6	17
31.9	100
35.0	10
45.2	12
45.6	24
46.0	24
46.4	12
57.5	12
66.8	11
75.7	10
76.2	11

***

Starting from a crystal structure in Alexandria, relaxed with GGA-PBE, the powder diffraction line list of ErPa3Se4 was simulated for Cu Kα (weighted mean of Kα1 and Kα2).
Kinematic intensities with the Lorentz-polarization factor, no thermal factor.

Structural model:
```
ErPa3Se4
1.0
7.3091 0.0000 0.0000
0.0000 8.0261 0.0000
-2.1964 0.0000 6.4375
Er Pa Se
2 6 8
Direct
0.0000 0.1251 0.2500 Er
0.0000 0.8749 0.7500 Er
0.0000 0.3789 0.7500 Pa
0.0000 0.6211 0.2500 Pa
0.5000 0.1248 0.7500 Pa
0.5000 0.3776 0.2500 Pa
0.5000 0.6224 0.7500 Pa
0.5000 0.8752 0.2500 Pa
0.2428 0.1233 0.9987 Se
0.2428 0.8767 0.4987 Se
0.2462 0.3700 0.4971 Se
0.2462 0.6300 0.9971 Se
0.7538 0.3700 0.0029 Se
0.7538 0.6300 0.5029 Se
0.7572 0.1233 0.5013 Se
0.7572 0.8767 0.0013 Se
```

Top 12 peaks for 2θ = 10–90°, low angle first:
Position (°2θ)	I (rel.)
25.8	11
27.1	19
27.7	9
31.2	100
43.5	27
44.2	13
45.2	12
46.0	23
52.9	8
56.0	13
65.1	8
72.1	6

***

Starting from a crystal structure in Alexandria, relaxed with GGA-PBE, the powder diffraction line list of ErPa3Se6 was simulated for Cu Kα (weighted mean of Kα1 and Kα2).
Kinematic intensities with the Lorentz-polarization factor, no thermal factor.

Structural model:
```
ErPa3Se6
1.0
5.5980 -6.7769 0.0000
5.5980 6.7769 0.0000
0.0000 0.0000 6.9776
Er Pa Se
2 6 12
Direct
0.1639 0.8361 0.5000 Er
0.8361 0.1639 0.0000 Er
0.0767 0.2724 0.4896 Pa
0.2724 0.0767 0.9896 Pa
0.4054 0.5946 0.8751 Pa
0.5946 0.4054 0.3751 Pa
0.7276 0.9233 0.4896 Pa
0.9233 0.7276 0.9896 Pa
0.0020 0.9980 0.7433 Se
0.0939 0.5620 0.7066 Se
0.2393 0.7607 0.1371 Se
0.2965 0.3757 0.1811 Se
0.3757 0.2965 0.6811 Se
0.4380 0.9061 0.7066 Se
0.5620 0.0939 0.2066 Se
0.6243 0.7035 0.1811 Se
0.7035 0.6243 0.6811 Se
0.7607 0.2393 0.6371 Se
0.9061 0.4380 0.2066 Se
0.9980 0.0020 0.2433 Se
```

Top 12 peaks for 2θ = 10–90°, low angle first:
Position (°2θ)	I (rel.)
16.3	16
24.2	100
24.8	45
27.6	15
33.4	19
33.7	51
35.9	43
37.0	60
41.2	39
46.5	23
48.8	27
62.8	17

***

Starting from a crystal structure in Alexandria, relaxed with GGA-PBE, the powder diffraction line list of Er2TmPaSe4 was simulated for Cu Kα (weighted mean of Kα1 and Kα2).
Kinematic intensities with the Lorentz-polarization factor, no thermal factor.

Structural model:
```
Er2TmPaSe4
1.0
6.9989 0.0000 0.0000
0.0000 3.9823 0.0000
-2.2627 0.0000 6.6842
Er Tm Pa Se
2 1 1 4
Direct
0.0000 0.0000 0.0000 Er
0.0000 0.5000 0.5000 Er
0.5000 0.0000 0.5000 Tm
0.5000 0.5000 0.0000 Pa
0.2450 0.0000 0.7436 Se
0.2490 0.5000 0.2539 Se
0.7510 0.5000 0.7461 Se
0.7550 0.0000 0.2564 Se
```

Top 12 peaks for 2θ = 10–90°, low angle first:
Position (°2θ)	I (rel.)
26.7	7
26.9	7
27.3	14
31.3	100
44.2	13
44.8	25
45.0	25
45.6	12
56.3	13
65.4	12
74.1	11
74.5	11

***

Starting from a crystal structure in Alexandria, relaxed with GGA-PBE, the powder diffraction line list of ErPaSi was simulated for Cu Kα (weighted mean of Kα1 and Kα2).
Kinematic intensities with the Lorentz-polarization factor, no thermal factor.

Structural model:
```
ErPaSi
1.0
0.0000 6.3137 6.4687
3.9343 0.0000 6.4687
3.9343 6.3137 0.0000
Er Pa Si
4 4 4
Direct
0.0000 0.0000 0.0000 Er
0.0000 0.0000 0.5000 Er
0.0000 0.5000 0.0000 Er
0.5000 0.0000 0.0000 Er
0.2728 0.2728 0.4772 Pa
0.4772 0.4772 0.2728 Pa
0.5228 0.5228 0.7272 Pa
0.7272 0.7272 0.5228 Pa
0.1741 0.5759 0.1741 Si
0.4241 0.8259 0.4241 Si
0.5759 0.1741 0.5759 Si
0.8259 0.4241 0.8259 Si
```

Top 12 peaks for 2θ = 10–90°, low angle first:
Position (°2θ)	I (rel.)
25.0	100
26.7	46
27.6	55
30.1	46
31.8	35
35.6	51
38.1	48
38.8	39
42.6	44
50.0	23
55.0	25
62.6	26

***

Starting from a crystal structure in Alexandria, relaxed with GGA-PBE, the powder diffraction line list of ErPa3Tc4 was simulated for Cu Kα (weighted mean of Kα1 and Kα2).
Kinematic intensities with the Lorentz-polarization factor, no thermal factor.

Structural model:
```
ErPa3Tc4
1.0
2.4808 1.4323 7.6510
-2.4808 1.4323 7.6510
0.0000 -2.8646 7.6510
Er Pa Tc
1 3 4
Direct
0.0000 0.0000 0.0000 Er
0.2527 0.2527 0.2527 Pa
0.5000 0.5000 0.5000 Pa
0.7473 0.7473 0.7473 Pa
0.1318 0.1318 0.1318 Tc
0.3844 0.3844 0.3844 Tc
0.6156 0.6156 0.6156 Tc
0.8682 0.8682 0.8682 Tc
```

Top 12 peaks for 2θ = 10–90°, low angle first:
Position (°2θ)	I (rel.)
25.9	29
36.2	100
37.7	84
45.1	7
53.3	31
61.2	8
65.1	18
66.1	33
69.0	12
76.9	11
80.5	8
88.9	15